Calculated XRD peak list of Mn2BO4 for CuKα, from a crystal structure in Alexandria, relaxed with PBE+U.
Intensities are scaled so that the largest is 100.

Largest 6 diffraction maxima, low angle first, 2θ from 10° to 80°:
| d [Å] | two_theta | I_rel | index |
| --- | --- | --- | --- |
| 4.233 | 20.99 | 33 | 0 1 2 |
| 2.987 | 29.92 | 37 | 0 1 3 |
| 2.731 | 32.80 | 100 | 1 2 -1 |
| 2.654 | 33.78 | 21 | 0 3 2 |
| 2.631 | 34.08 | 39 | 0 2 3 |
| 1.866 | 48.80 | 19 | 1 3 2 |

Atomic structure:
abc: 3.315 9.633 9.956
angles: 90.00 108.80 90.00
Element x y z (fractional)
Mn (0.095, 0.097, 0.321)
Mn (0.095, 0.403, 0.821)
Mn (0.290, 0.618, 0.562)
Mn (0.290, 0.882, 0.062)
Mn (0.710, 0.118, 0.938)
Mn (0.710, 0.382, 0.438)
Mn (0.905, 0.597, 0.179)
Mn (0.905, 0.903, 0.679)
B (0.432, 0.170, 0.633)
B (0.432, 0.330, 0.133)
B (0.568, 0.670, 0.867)
B (0.568, 0.830, 0.367)
O (0.104, 0.511, 0.387)
O (0.104, 0.989, 0.887)
O (0.352, 0.242, 0.505)
O (0.352, 0.258, 0.005)
O (0.360, 0.031, 0.631)
O (0.360, 0.469, 0.131)
O (0.422, 0.741, 0.737)
O (0.422, 0.759, 0.237)
O (0.578, 0.241, 0.763)
O (0.578, 0.259, 0.263)
O (0.640, 0.531, 0.869)
O (0.640, 0.969, 0.369)
O (0.648, 0.742, 0.995)
O (0.648, 0.758, 0.495)
O (0.896, 0.011, 0.113)
O (0.896, 0.489, 0.613)